Record 1
Starting from DFT lattice parameters and positions (PBE), the PXRD pattern of Y4Ge8Rh was calculated for Cu Kα (weighted mean of Kα1 and Kα2).
Peak positions follow from Bragg's law for the DFT cell and can differ from measured ones.

Principal peaks in the range 2θ = 5–70°, in order of rising 2θ:
| d_spacing | intensity |
| --- | --- |
| 16.278 | 14 |
| 2.713 | 12 |
| 2.560 | 15 |
| 2.550 | 100 |
| 2.251 | 16 |
| 2.072 | 22 |
| 2.015 | 21 |
| 1.657 | 7 |
| 1.524 | 10 |
| 1.445 | 14 |

```
data_Y4Ge8Rh
_chemical_formula_sum 'Y4 Ge8 Rh1'
_cell_length_a 4.0308
_cell_length_b 4.1432
_cell_length_c 16.2779
_cell_angle_alpha 90.00
_cell_angle_beta 90.00
_cell_angle_gamma 90.00
_symmetry_space_group_name_H-M 'P m m 2'
_symmetry_Int_Tables_number 25
loop_
_symmetry_equiv_pos_as_xyz
'x,y,z'
'-x,-y,z'
'-x,y,z'
'x,-y,z'
loop_
_atom_site_label
_atom_site_fract_x
_atom_site_fract_y
_atom_site_fract_z
Y1 0.0000 0.0000 0.0000
Y2 0.0000 0.5000 0.4892
Y3 0.5000 0.0000 0.7901
Y4 0.5000 0.5000 0.2853
Ge1 0.0000 0.0000 0.3327
Ge2 0.0000 0.0000 0.6233
Ge3 0.0000 0.5000 0.1404
Ge4 0.0000 0.5000 0.8547
Ge5 0.5000 0.0000 0.1453
Ge6 0.5000 0.0000 0.4367
Ge7 0.5000 0.5000 0.6220
Ge8 0.5000 0.5000 0.9550
Rh1 0.0000 0.5000 0.7056
```

---

Record 2
Starting from DFT lattice parameters and positions (PBE), the PXRD pattern of TmB12C3 was calculated for Cu Kα (weighted mean of Kα1 and Kα2).
Peak positions follow from Bragg's law for the DFT cell and can differ from measured ones.

Principal peaks in the range 2θ = 5–70°, in order of rising 2θ:
| d_spacing | intensity |
| --- | --- |
| 5.504 | 100 |
| 3.996 | 93 |
| 3.234 | 59 |
| 3.177 | 56 |
| 2.788 | 63 |
| 2.752 | 39 |
| 2.266 | 40 |
| 2.080 | 31 |
| 1.959 | 31 |
| 1.878 | 23 |

```
data_TmB12C3
_chemical_formula_sum 'Tm6 B72 C18'
_cell_length_a 11.0071
_cell_length_b 11.0071
_cell_length_c 8.8039
_cell_angle_alpha 90.00
_cell_angle_beta 90.00
_cell_angle_gamma 120.00
_symmetry_space_group_name_H-M 'R 3 c'
_symmetry_Int_Tables_number 161
_symmetry_space_group_name_Hall 'R 3 -2"c'
loop_
_atom_site_label
_atom_site_fract_x
_atom_site_fract_y
_atom_site_fract_z
Tm1 0.0000 0.0000 0.0000
B1 0.0489 0.4967 0.0177
B2 0.0568 0.2297 0.6888
B3 0.0754 0.5019 0.6950
B4 0.1436 0.3989 0.7263
C1 0.0152 0.3455 0.0231
```

---

Record 3
Starting from DFT lattice parameters and positions (PBE), the PXRD pattern of Dy2ZrTe4 was calculated for Cu Kα (weighted mean of Kα1 and Kα2).
Peak positions follow from Bragg's law for the DFT cell and can differ from measured ones.

Principal peaks in the range 2θ = 5–70°, in order of rising 2θ:
| d_spacing | intensity |
| --- | --- |
| 6.851 | 18 |
| 3.318 | 50 |
| 3.260 | 100 |
| 2.548 | 18 |
| 2.524 | 89 |
| 2.513 | 33 |
| 2.167 | 56 |
| 2.135 | 27 |
| 1.795 | 17 |
| 1.630 | 16 |

```
data_Dy2ZrTe4
_chemical_formula_sum 'Dy4 Zr2 Te8'
_cell_length_a 15.5797
_cell_length_b 4.2692
_cell_length_c 7.5449
_cell_angle_alpha 90.00
_cell_angle_beta 118.42
_cell_angle_gamma 90.00
_symmetry_space_group_name_H-M 'C 1 2/m 1'
_symmetry_Int_Tables_number 12
loop_
_symmetry_equiv_pos_as_xyz
'x,y,z'
'-x,-y,-z'
'-x,y,-z'
'x,-y,z'
'x+1/2,y+1/2,z'
'-x+1/2,-y+1/2,-z'
'-x+1/2,y+1/2,-z'
'x+1/2,-y+1/2,z'
loop_
_atom_site_label
_atom_site_fract_x
_atom_site_fract_y
_atom_site_fract_z
Dy1 0.2503 0.0000 0.2350
Zr1 0.0000 0.0000 0.0000
Te1 0.1133 0.0000 0.7815
Te2 0.1196 0.5000 0.2903
```

---

Record 4
Starting from DFT lattice parameters and positions (PBE), the PXRD pattern of Li6AcGa2 was calculated for Cu Kα (weighted mean of Kα1 and Kα2).
Peak positions follow from Bragg's law for the DFT cell and can differ from measured ones.

Principal peaks in the range 2θ = 5–70°, in order of rising 2θ:
| d_spacing | intensity |
| --- | --- |
| 9.575 | 100 |
| 3.283 | 23 |
| 3.190 | 25 |
| 3.027 | 32 |
| 2.655 | 12 |
| 2.606 | 26 |
| 2.256 | 12 |
| 2.196 | 12 |
| 2.115 | 16 |
| 1.705 | 14 |

```
data_Li6AcGa2
_chemical_formula_sum 'Li6 Ac1 Ga2'
_cell_length_a 4.5116
_cell_length_b 4.5116
_cell_length_c 9.5754
_cell_angle_alpha 90.00
_cell_angle_beta 90.00
_cell_angle_gamma 90.00
_symmetry_space_group_name_H-M 'P 4/m m m'
_symmetry_Int_Tables_number 123
_symmetry_space_group_name_Hall '-P 4 2'
loop_
_atom_site_label
_atom_site_fract_x
_atom_site_fract_y
_atom_site_fract_z
Li1 0.0000 0.0000 0.0000
Li2 0.0000 0.5000 0.2032
Li3 0.5000 0.5000 0.0000
Ac1 0.0000 0.0000 0.5000
Ga1 0.5000 0.5000 0.3649
```

---

Record 5
Starting from DFT lattice parameters and positions (PBE), the PXRD pattern of Nd5Dy4Tm4 was calculated for Cu Kα (weighted mean of Kα1 and Kα2).
Peak positions follow from Bragg's law for the DFT cell and can differ from measured ones.

Principal peaks in the range 2θ = 5–70°, in order of rising 2θ:
| d_spacing | intensity |
| --- | --- |
| 2.922 | 100 |
| 2.534 | 34 |
| 2.525 | 17 |
| 1.790 | 36 |
| 1.527 | 29 |
| 1.524 | 14 |
| 1.461 | 12 |

```
data_Nd5Dy4Tm4
_chemical_formula_sum 'Nd10 Dy8 Tm8'
_cell_length_a 12.9195
_cell_length_b 12.9195
_cell_length_c 5.0498
_cell_angle_alpha 90.00
_cell_angle_beta 90.00
_cell_angle_gamma 90.00
_symmetry_space_group_name_H-M 'I 4/m'
_symmetry_Int_Tables_number 87
_symmetry_space_group_name_Hall '-I 4'
loop_
_atom_site_label
_atom_site_fract_x
_atom_site_fract_y
_atom_site_fract_z
Nd1 0.0000 0.0000 0.0000
Nd2 0.0393 0.1944 0.5000
Dy1 0.0759 0.3854 0.0000
Tm1 0.1550 0.7670 0.0000
```

---

Record 6
Starting from DFT lattice parameters and positions (PBE), the PXRD pattern of TlSn4 was calculated for Cu Kα (weighted mean of Kα1 and Kα2).
Peak positions follow from Bragg's law for the DFT cell and can differ from measured ones.

Principal peaks in the range 2θ = 5–70°, in order of rising 2θ:
| d_spacing | intensity |
| --- | --- |
| 2.816 | 94 |
| 2.793 | 100 |
| 2.634 | 43 |
| 2.342 | 57 |
| 1.750 | 48 |
| 1.554 | 16 |
| 1.550 | 18 |
| 1.431 | 19 |
| 1.421 | 25 |
| 1.396 | 13 |

```
data_TlSn4
_chemical_formula_sum 'Tl2 Sn8'
_cell_length_a 3.2931
_cell_length_b 5.2690
_cell_length_c 16.6570
_cell_angle_alpha 90.00
_cell_angle_beta 90.00
_cell_angle_gamma 90.00
_symmetry_space_group_name_H-M 'I m m m'
_symmetry_Int_Tables_number 71
_symmetry_space_group_name_Hall '-I 2 2'
loop_
_atom_site_label
_atom_site_fract_x
_atom_site_fract_y
_atom_site_fract_z
Tl1 0.0000 0.0000 0.0000
Sn1 0.0000 0.0000 0.1979
Sn2 0.0000 0.0000 0.3847
```

---

Record 7
Starting from DFT lattice parameters and positions (PBE), the PXRD pattern of TaBeSi2 was calculated for Cu Kα (weighted mean of Kα1 and Kα2).
Peak positions follow from Bragg's law for the DFT cell and can differ from measured ones.

Principal peaks in the range 2θ = 5–70°, in order of rising 2θ:
| d_spacing | intensity |
| --- | --- |
| 5.072 | 100 |
| 3.290 | 95 |
| 2.760 | 94 |
| 2.536 | 24 |
| 2.326 | 74 |
| 2.114 | 44 |
| 2.008 | 95 |
| 1.714 | 30 |
| 1.645 | 25 |
| 1.413 | 25 |

```
data_TaBeSi2
_chemical_formula_sum 'Ta1 Be1 Si2'
_cell_length_a 3.2897
_cell_length_b 3.2897
_cell_length_c 5.0718
_cell_angle_alpha 90.00
_cell_angle_beta 90.00
_cell_angle_gamma 90.00
_symmetry_space_group_name_H-M 'P 4 m m'
_symmetry_Int_Tables_number 99
loop_
_symmetry_equiv_pos_as_xyz
'x,y,z'
'-y,x,z'
'-x,-y,z'
'y,-x,z'
'-x,y,z'
'y,x,z'
'x,-y,z'
'-y,-x,z'
loop_
_atom_site_label
_atom_site_fract_x
_atom_site_fract_y
_atom_site_fract_z
Ta1 0.0000 0.0000 0.0000
Be1 0.5000 0.5000 0.2809
Si1 0.0000 0.0000 0.4926
Si2 0.5000 0.5000 0.7534
```

---

Record 8
Starting from DFT lattice parameters and positions (PBE), the PXRD pattern of Sr2In3Ge was calculated for Cu Kα (weighted mean of Kα1 and Kα2).
Peak positions follow from Bragg's law for the DFT cell and can differ from measured ones.

Principal peaks in the range 2θ = 5–70°, in order of rising 2θ:
| d_spacing | intensity |
| --- | --- |
| 4.702 | 28 |
| 3.110 | 100 |
| 3.091 | 48 |
| 2.402 | 29 |
| 2.377 | 54 |
| 2.351 | 27 |
| 1.897 | 23 |
| 1.680 | 19 |
| 1.671 | 36 |
| 1.465 | 15 |

```
data_Sr2In3Ge
_chemical_formula_sum 'Sr2 In3 Ge1'
_cell_length_a 4.7015
_cell_length_b 4.8048
_cell_length_c 8.2041
_cell_angle_alpha 90.00
_cell_angle_beta 90.00
_cell_angle_gamma 90.00
_symmetry_space_group_name_H-M 'P m m 2'
_symmetry_Int_Tables_number 25
loop_
_symmetry_equiv_pos_as_xyz
'x,y,z'
'-x,-y,z'
'-x,y,z'
'x,-y,z'
loop_
_atom_site_label
_atom_site_fract_x
_atom_site_fract_y
_atom_site_fract_z
Sr1 0.0000 0.0000 0.0000
Sr2 0.0000 0.5000 0.4737
In1 0.5000 0.0000 0.6438
In2 0.5000 0.5000 0.1576
In3 0.5000 0.5000 0.8152
Ge1 0.5000 0.0000 0.3171
```

---

Record 9
Starting from DFT lattice parameters and positions (PBE), the PXRD pattern of Y7ReO14 was calculated for Cu Kα (weighted mean of Kα1 and Kα2).
Peak positions follow from Bragg's law for the DFT cell and can differ from measured ones.

Principal peaks in the range 2θ = 5–70°, in order of rising 2θ:
| d_spacing | intensity |
| --- | --- |
| 3.177 | 32 |
| 3.085 | 100 |
| 2.691 | 38 |
| 1.924 | 35 |
| 1.883 | 31 |
| 1.645 | 16 |
| 1.619 | 28 |
| 1.607 | 13 |
| 1.543 | 9 |
| 1.345 | 9 |

```
data_Y7ReO14
_chemical_formula_sum 'Y21 Re3 O42'
_cell_length_a 7.5300
_cell_length_b 7.5300
_cell_length_c 19.0602
_cell_angle_alpha 90.00
_cell_angle_beta 90.00
_cell_angle_gamma 120.00
_symmetry_space_group_name_H-M 'R -3 m'
_symmetry_Int_Tables_number 166
_symmetry_space_group_name_Hall '-R 3 2"'
loop_
_atom_site_label
_atom_site_fract_x
_atom_site_fract_y
_atom_site_fract_z
Y1 0.0000 0.0000 0.0000
Y2 0.0000 0.5000 0.0000
Y3 0.0000 0.5000 0.5000
Re1 0.0000 0.0000 0.5000
O1 0.0000 0.0000 0.1375
O2 0.0248 0.5124 0.3776
O3 0.0888 0.5444 0.1140
```

---

Record 10
Starting from DFT lattice parameters and positions (PBE), the PXRD pattern of Sr4Pu3GaN8 was calculated for Cu Kα (weighted mean of Kα1 and Kα2).
Peak positions follow from Bragg's law for the DFT cell and can differ from measured ones.

Principal peaks in the range 2θ = 5–70°, in order of rising 2θ:
| d_spacing | intensity |
| --- | --- |
| 5.922 | 55 |
| 5.754 | 20 |
| 2.961 | 56 |
| 2.889 | 51 |
| 2.871 | 100 |
| 2.550 | 53 |
| 2.490 | 99 |
| 1.798 | 36 |
| 1.765 | 35 |
| 1.526 | 34 |

```
data_Sr4Pu3GaN8
_chemical_formula_sum 'Sr8 Pu6 Ga2 N16'
_cell_length_a 12.2982
_cell_length_b 6.9478
_cell_length_c 7.1414
_cell_angle_alpha 90.00
_cell_angle_beta 123.98
_cell_angle_gamma 90.00
_symmetry_space_group_name_H-M 'C 1 2/m 1'
_symmetry_Int_Tables_number 12
loop_
_symmetry_equiv_pos_as_xyz
'x,y,z'
'-x,-y,-z'
'-x,y,-z'
'x,-y,z'
'x+1/2,y+1/2,z'
'-x+1/2,-y+1/2,-z'
'-x+1/2,y+1/2,-z'
'x+1/2,-y+1/2,z'
loop_
_atom_site_label
_atom_site_fract_x
_atom_site_fract_y
_atom_site_fract_z
Sr1 0.0000 0.0000 0.0000
Sr2 0.0000 0.5000 0.0000
Sr3 0.2500 0.2500 0.0000
Pu1 0.0000 0.0000 0.5000
Pu2 0.2500 0.2500 0.5000
Ga1 0.0000 0.5000 0.5000
N1 0.0168 0.2481 0.3001
N2 0.2343 0.0000 0.7012
N3 0.2475 0.5000 0.7071
```

---

Record 11
Starting from DFT lattice parameters and positions (PBE), the PXRD pattern of Tl3TeN was calculated for Cu Kα (weighted mean of Kα1 and Kα2).
Peak positions follow from Bragg's law for the DFT cell and can differ from measured ones.

Principal peaks in the range 2θ = 5–70°, in order of rising 2θ:
| d_spacing | intensity |
| --- | --- |
| 3.598 | 95 |
| 3.475 | 42 |
| 3.125 | 36 |
| 3.110 | 76 |
| 3.092 | 65 |
| 3.007 | 100 |
| 2.743 | 49 |
| 2.536 | 35 |
| 2.367 | 44 |
| 2.016 | 29 |

```
data_Tl3TeN
_chemical_formula_sum 'Tl6 Te2 N2'
_cell_length_a 4.7914
_cell_length_b 7.0608
_cell_length_c 9.7923
_cell_angle_alpha 97.25
_cell_angle_beta 96.22
_cell_angle_gamma 102.41
_symmetry_space_group_name_H-M 'P -1'
_symmetry_Int_Tables_number 2
loop_
_symmetry_equiv_pos_as_xyz
'x,y,z'
'-x,-y,-z'
loop_
_atom_site_label
_atom_site_fract_x
_atom_site_fract_y
_atom_site_fract_z
Tl1 0.0696 0.0594 0.3454
Tl2 0.2606 0.6080 0.8552
Tl3 0.3120 0.6402 0.4357
Te1 0.1758 0.2253 0.9606
N1 0.0781 0.6488 0.6519
```

---

Record 12
Starting from DFT lattice parameters and positions (PBE), the PXRD pattern of CsNa3Se2 was calculated for Cu Kα (weighted mean of Kα1 and Kα2).
Peak positions follow from Bragg's law for the DFT cell and can differ from measured ones.

Principal peaks in the range 2θ = 5–70°, in order of rising 2θ:
| d_spacing | intensity |
| --- | --- |
| 8.157 | 27 |
| 4.078 | 33 |
| 3.574 | 100 |
| 3.495 | 45 |
| 3.429 | 44 |
| 2.994 | 27 |
| 2.868 | 21 |
| 2.784 | 33 |
| 2.570 | 22 |
| 2.389 | 32 |

```
data_CsNa3Se2
_chemical_formula_sum 'Cs4 Na12 Se8'
_cell_length_a 17.3985
_cell_length_b 4.7782
_cell_length_c 10.9316
_cell_angle_alpha 90.00
_cell_angle_beta 117.92
_cell_angle_gamma 90.00
_symmetry_space_group_name_H-M 'C 1 2/m 1'
_symmetry_Int_Tables_number 12
loop_
_symmetry_equiv_pos_as_xyz
'x,y,z'
'-x,-y,-z'
'-x,y,-z'
'x,-y,z'
'x+1/2,y+1/2,z'
'-x+1/2,-y+1/2,-z'
'-x+1/2,y+1/2,-z'
'x+1/2,-y+1/2,z'
loop_
_atom_site_label
_atom_site_fract_x
_atom_site_fract_y
_atom_site_fract_z
Cs1 0.1248 0.0000 0.0958
Na1 0.0116 0.0000 0.3496
Na2 0.1295 0.5000 0.7069
Na3 0.1688 0.5000 0.4353
Se1 0.0049 0.5000 0.8024
Se2 0.1764 0.0000 0.6139
```

---

Please write out number 7 again, unchanged.
Starting from DFT lattice parameters and positions (PBE), the PXRD pattern of TaBeSi2 was calculated for Cu Kα (weighted mean of Kα1 and Kα2).
Peak positions follow from Bragg's law for the DFT cell and can differ from measured ones.

Principal peaks in the range 2θ = 5–70°, in order of rising 2θ:
| d_spacing | intensity |
| --- | --- |
| 5.072 | 100 |
| 3.290 | 95 |
| 2.760 | 94 |
| 2.536 | 24 |
| 2.326 | 74 |
| 2.114 | 44 |
| 2.008 | 95 |
| 1.714 | 30 |
| 1.645 | 25 |
| 1.413 | 25 |

```
data_TaBeSi2
_chemical_formula_sum 'Ta1 Be1 Si2'
_cell_length_a 3.2897
_cell_length_b 3.2897
_cell_length_c 5.0718
_cell_angle_alpha 90.00
_cell_angle_beta 90.00
_cell_angle_gamma 90.00
_symmetry_space_group_name_H-M 'P 4 m m'
_symmetry_Int_Tables_number 99
loop_
_symmetry_equiv_pos_as_xyz
'x,y,z'
'-y,x,z'
'-x,-y,z'
'y,-x,z'
'-x,y,z'
'y,x,z'
'x,-y,z'
'-y,-x,z'
loop_
_atom_site_label
_atom_site_fract_x
_atom_site_fract_y
_atom_site_fract_z
Ta1 0.0000 0.0000 0.0000
Be1 0.5000 0.5000 0.2809
Si1 0.0000 0.0000 0.4926
Si2 0.5000 0.5000 0.7534
```

---

What did the fourth record say?
Starting from DFT lattice parameters and positions (PBE), the PXRD pattern of Li6AcGa2 was calculated for Cu Kα (weighted mean of Kα1 and Kα2).
Peak positions follow from Bragg's law for the DFT cell and can differ from measured ones.

Principal peaks in the range 2θ = 5–70°, in order of rising 2θ:
| d_spacing | intensity |
| --- | --- |
| 9.575 | 100 |
| 3.283 | 23 |
| 3.190 | 25 |
| 3.027 | 32 |
| 2.655 | 12 |
| 2.606 | 26 |
| 2.256 | 12 |
| 2.196 | 12 |
| 2.115 | 16 |
| 1.705 | 14 |

```
data_Li6AcGa2
_chemical_formula_sum 'Li6 Ac1 Ga2'
_cell_length_a 4.5116
_cell_length_b 4.5116
_cell_length_c 9.5754
_cell_angle_alpha 90.00
_cell_angle_beta 90.00
_cell_angle_gamma 90.00
_symmetry_space_group_name_H-M 'P 4/m m m'
_symmetry_Int_Tables_number 123
_symmetry_space_group_name_Hall '-P 4 2'
loop_
_atom_site_label
_atom_site_fract_x
_atom_site_fract_y
_atom_site_fract_z
Li1 0.0000 0.0000 0.0000
Li2 0.0000 0.5000 0.2032
Li3 0.5000 0.5000 0.0000
Ac1 0.0000 0.0000 0.5000
Ga1 0.5000 0.5000 0.3649
```